Entry 1:
Sc2Al: theoretical powder XRD pattern (λ = 1.5418 Å (Cu Kα)), based on a cell relaxed with PBE.
Kinematic intensities with the Lorentz-polarization factor, no thermal factor.

Atomic structure:
Cell: 4.901 4.901 6.172 Å, 90.00 90.00 120.00°
Atoms (fractional coordinates):
1 Sc 0.000 0.000 0.000
2 Sc 0.000 0.000 0.500
3 Sc 0.333 0.667 0.250
4 Sc 0.667 0.333 0.750
5 Al 0.333 0.667 0.750
6 Al 0.667 0.333 0.250

Peak list (10 most intense, 5 to 70 degrees two-theta, in order of falling intensity)
35.98 deg, I 100; 36.68 deg, I 99; 52.32 deg, I 31; 65.59 deg, I 30; 66.04 deg, I 15; 25.47 deg, I 9; 59.95 deg, I 7; 47.37 deg, I 5; 28.93 deg, I 3; 20.93 deg, I 3

=====

Entry 2:
ScAl: theoretical powder XRD pattern (λ = 1.5418 Å (Cu Kα)), based on a cell relaxed with PBE.
Kinematic intensities with the Lorentz-polarization factor, no thermal factor.

Atomic structure:
Cell: 3.378 3.378 3.378 Å, 90.00 90.00 90.00°
Atoms (fractional coordinates):
1 Sc 0.000 0.000 0.000
2 Al 0.500 0.500 0.500

Peak list (6 most intense, 5 to 70 degrees two-theta, in order of falling intensity)
37.66 deg, I 100; 67.98 deg, I 31; 54.32 deg, I 16; 26.39 deg, I 8; 61.37 deg, I 2; 46.57 deg, I 2

=====

Entry 3:
Sc2AlTc: theoretical powder XRD pattern (λ = 1.5418 Å (Cu Kα)), based on a cell relaxed with PBE.
Kinematic intensities with the Lorentz-polarization factor, no thermal factor.

Atomic structure:
Cell: 4.684 4.684 4.684 Å, 60.00 60.00 60.00°
Atoms (fractional coordinates):
1 Sc 0.250 0.250 0.250
2 Sc 0.750 0.750 0.750
3 Al 0.000 0.000 0.000
4 Tc 0.500 0.500 0.500

Peak list (9 most intense, 5 to 70 degrees two-theta, in order of falling intensity)
38.44 deg, I 100; 69.52 deg, I 32; 23.26 deg, I 29; 55.48 deg, I 16; 45.41 deg, I 14; 60.96 deg, I 6; 26.92 deg, I 4; 62.72 deg, I 2; 47.55 deg, I 1

=====

Entry 4:
Sc2AlZn: theoretical powder XRD pattern (λ = 1.5418 Å (Cu Kα)), based on a cell relaxed with PBE.
Kinematic intensities with the Lorentz-polarization factor, no thermal factor.

Atomic structure:
Cell: 4.773 4.773 4.773 Å, 60.00 60.00 60.00°
Atoms (fractional coordinates):
1 Sc 0.250 0.250 0.250
2 Sc 0.750 0.750 0.750
3 Al 0.000 0.000 0.000
4 Zn 0.500 0.500 0.500

Peak list (6 most intense, 5 to 70 degrees two-theta, in order of falling intensity)
37.70 deg, I 100; 68.05 deg, I 31; 54.37 deg, I 16; 22.82 deg, I 13; 44.52 deg, I 7; 59.72 deg, I 3

=====

Entry 5:
Al5Se8: theoretical powder XRD pattern (λ = 1.5418 Å (Cu Kα)), based on a cell relaxed with PBE.
Kinematic intensities with the Lorentz-polarization factor, no thermal factor.

Atomic structure:
Cell: 7.447 7.447 7.447 Å, 60.00 60.00 60.00°
Atoms (fractional coordinates):
1 Al 0.000 0.000 0.000
2 Al 0.155 0.615 0.615
3 Al 0.615 0.155 0.615
4 Al 0.615 0.615 0.155
5 Al 0.615 0.615 0.615
6 Se 0.377 0.377 0.377
7 Se 0.377 0.377 0.869
8 Se 0.377 0.869 0.377
9 Se 0.402 0.866 0.866
10 Se 0.866 0.402 0.866
11 Se 0.866 0.866 0.402
12 Se 0.866 0.866 0.866
13 Se 0.869 0.377 0.377

Peak list (10 most intense, 5 to 70 degrees two-theta, in order of falling intensity)
29.38 deg, I 100; 34.05 deg, I 91; 48.92 deg, I 72; 58.10 deg, I 41; 60.95 deg, I 20; 14.57 deg, I 10; 44.71 deg, I 8; 28.10 deg, I 5; 42.03 deg, I 3; 63.03 deg, I 3

=====

Entry 6:
AlTlSe2: theoretical powder XRD pattern (λ = 1.5418 Å (Cu Kα)), based on a cell relaxed with PBE.
Kinematic intensities with the Lorentz-polarization factor, no thermal factor.

Atomic structure:
Cell: 6.670 6.670 6.670 Å, 103.46 103.46 122.32°
Atoms (fractional coordinates):
1 Al 0.250 0.750 0.500
2 Al 0.750 0.250 0.500
3 Tl 0.250 0.250 0.000
4 Tl 0.750 0.750 0.000
5 Se 0.157 0.657 0.814
6 Se 0.343 0.157 0.500
7 Se 0.657 0.843 0.500
8 Se 0.843 0.343 0.186

Peak list (10 most intense, 5 to 70 degrees two-theta, in order of falling intensity)
35.36 deg, I 100; 34.32 deg, I 87; 31.75 deg, I 78; 27.84 deg, I 68; 15.16 deg, I 66; 21.51 deg, I 56; 30.60 deg, I 55; 52.65 deg, I 44; 55.12 deg, I 36; 49.32 deg, I 34

=====

Entry 7:
AlTlSe2: theoretical powder XRD pattern (λ = 1.5418 Å (Cu Kα)), based on a cell relaxed with PBE.
Kinematic intensities with the Lorentz-polarization factor, no thermal factor.

Atomic structure:
Cell: 7.747 7.747 15.854 Å, 97.06 97.06 90.03°
Atoms (fractional coordinates):
1 Al 0.088 0.710 0.839
2 Al 0.290 0.420 0.660
3 Al 0.290 0.912 0.661
4 Al 0.420 0.290 0.160
5 Al 0.580 0.710 0.840
6 Al 0.710 0.088 0.339
7 Al 0.710 0.580 0.340
8 Al 0.912 0.290 0.161
9 Tl 0.150 0.775 0.111
10 Tl 0.221 0.345 0.380
11 Tl 0.225 0.850 0.389
12 Tl 0.345 0.221 0.880
13 Tl 0.655 0.779 0.120
14 Tl 0.775 0.150 0.611
15 Tl 0.779 0.655 0.620
16 Tl 0.850 0.225 0.889
17 Se 0.055 0.432 0.748
18 Se 0.055 0.945 0.750
19 Se 0.142 0.269 0.071
20 Se 0.269 0.142 0.571
21 Se 0.269 0.643 0.566
22 Se 0.357 0.731 0.934
23 Se 0.432 0.055 0.248
24 Se 0.432 0.568 0.250
25 Se 0.568 0.432 0.750
26 Se 0.568 0.945 0.752
27 Se 0.643 0.269 0.066
28 Se 0.731 0.357 0.434
29 Se 0.731 0.858 0.429
30 Se 0.858 0.731 0.929
31 Se 0.945 0.055 0.250
32 Se 0.945 0.568 0.252

Peak list (10 most intense, 5 to 70 degrees two-theta, in order of falling intensity)
30.57 deg, I 100; 33.21 deg, I 63; 27.09 deg, I 59; 23.14 deg, I 50; 52.94 deg, I 37; 46.91 deg, I 36; 57.03 deg, I 34; 37.09 deg, I 26; 34.71 deg, I 20; 22.78 deg, I 16

=====

Entry 8:
Al2ZnSe4: theoretical powder XRD pattern (λ = 1.5418 Å (Cu Kα)), based on a cell relaxed with PBE.
Kinematic intensities with the Lorentz-polarization factor, no thermal factor.

Atomic structure:
Cell: 6.788 6.788 6.788 Å, 130.98 130.98 71.85°
Atoms (fractional coordinates):
1 Al 0.000 0.000 0.000
2 Al 0.750 0.250 0.500
3 Zn 0.500 0.500 0.000
4 Se 0.119 0.631 0.014
5 Se 0.369 0.383 0.489
6 Se 0.617 0.105 0.986
7 Se 0.895 0.881 0.511

Peak list (10 most intense, 5 to 70 degrees two-theta, in order of falling intensity)
27.66 deg, I 100; 46.15 deg, I 39; 54.13 deg, I 29; 45.56 deg, I 21; 55.18 deg, I 13; 31.78 deg, I 11; 66.40 deg, I 6; 32.58 deg, I 5; 35.83 deg, I 4; 17.69 deg, I 4